Pu2Si4Mo3: theoretical XRD peak list (Cu Kα, 1.54184 Å), based on a structure optimized by DFT (GGA-PBE).
No peak broadening, texture or thermal motion is included.

The 10 most intense peaks (2θ = 5–70°), by angle:
- 2θ = 19.08°, d = 4.652 Å, I 56, (1 1 0)
- 2θ = 29.74°, d = 3.004 Å, I 42, (0 2 1)
- 2θ = 29.86°, d = 2.992 Å, I 33, (1 1 -2)
- 2θ = 30.94°, d = 2.890 Å, I 34, (2 1 0)
- 2θ = 34.90°, d = 2.571 Å, I 53, (2 1 -2)
- 2θ = 35.04°, d = 2.561 Å, I 62, (1 2 1)
- 2θ = 37.64°, d = 2.390 Å, I 100, (2 2 -1)
- 2θ = 38.16°, d = 2.359 Å, I 82, (1 1 2)
- 2θ = 42.24°, d = 2.140 Å, I 87, (0 3 1)
- 2θ = 42.32°, d = 2.136 Å, I 50, (1 1 -3)

Structure:
Lattice parameters (Å, degrees): 6.7965 6.8203 6.7465 90.00 110.12 90.00
Space group P2_1/c (No. 14)
Symmetry-distinct sites (fractional):
Pu1 0.1759 0.1550 0.0538 [4 per cell]
Si1 0.0870 0.5418 0.8706 [4 per cell]
Si2 0.4945 0.1327 0.8653 [4 per cell]
Mo1 0.2491 0.6668 0.2526 [4 per cell]
Mo2 0.5000 0.0000 0.5000 [2 per cell]